1.
Starting from a cell relaxed with GGA-PBE, the PXRD pattern of AcCeZrO6 was computed for Cu Ka.
No peak broadening, texture or thermal motion is included.

Atomic structure:
```
18
Lattice="5.844 0.000 0.000 -2.922 5.061 0.000 0.000 0.000 10.258" Properties=species:S:1:pos:R:3 pbc="T T T"
Ac 0.000 0.000 0.000
Ac 0.000 0.000 5.129
Ce 0.000 3.374 2.564
Ce 2.922 1.687 7.693
Zr 0.000 3.374 7.693
Zr 2.922 1.687 2.564
O -0.980 1.852 6.573
O -1.808 3.285 8.814
O 0.980 1.852 8.814
O -0.827 4.984 6.573
O 2.094 0.077 1.444
O 1.114 1.775 3.685
O 1.808 3.285 6.573
O 0.827 4.984 8.814
O 3.749 0.077 3.685
O 1.941 3.208 1.444
O 4.730 1.775 1.444
O 3.902 3.208 3.685
```

Largest 8 diffraction maxima, in order of falling intensity, 15 to 90 degrees two-theta:
d/Å, I_rel
3.602, 100
2.922, 41
1.927, 38
1.792, 28
2.269, 28
1.687, 14
1.354, 12
1.620, 10

2.
Starting from a cell relaxed with GGA-PBE, the PXRD pattern of K2SrTl2 was computed for Cu Ka.
No peak broadening, texture or thermal motion is included.

Atomic structure:
```
10
Lattice="10.002 0.000 0.000 0.000 10.002 0.000 0.000 0.000 4.016" Properties=species:S:1:pos:R:3 pbc="T T T"
K 1.209 3.792 0.000
K 3.792 8.793 0.000
K 6.210 1.209 0.000
K 8.793 6.210 0.000
Sr 0.000 0.000 0.000
Sr 5.001 5.001 0.000
Tl 1.820 6.821 2.008
Tl 3.181 1.820 2.008
Tl 6.821 8.182 2.008
Tl 8.182 3.181 2.008
```

Largest 8 diffraction maxima, in order of falling intensity, 15 to 90 degrees two-theta:
d/Å, I_rel
2.988, 100
3.131, 65
4.473, 57
3.163, 44
2.076, 42
2.426, 35
2.033, 28
3.536, 24

3.
Starting from a cell relaxed with GGA-PBE, the PXRD pattern of Al4InAgTe8 was computed for Cu Ka.
No peak broadening, texture or thermal motion is included.

Atomic structure:
```
14
Lattice="4.408 -5.983 0.000 4.408 5.983 0.000 -0.045 0.000 8.830" Properties=species:S:1:pos:R:3 pbc="T T T"
Al 0.000 0.000 0.000
Al 2.091 2.850 2.172
Al 6.680 2.850 6.658
Al 4.385 -0.298 4.415
In 4.385 5.874 4.415
Ag 4.408 -0.173 0.000
Te 2.104 1.492 8.756
Te 4.332 4.215 6.757
Te 2.348 1.489 4.499
Te 4.439 4.215 2.073
Te 6.423 1.489 4.331
Te 6.667 1.492 0.074
Te 4.257 -1.796 2.281
Te 4.514 -1.796 6.550
```

Largest 8 diffraction maxima, in order of falling intensity, 15 to 90 degrees two-theta:
d/Å, I_rel
3.551, 100
2.206, 21
2.162, 19
2.156, 19
1.877, 15
1.870, 15
1.817, 14
3.127, 7

4.
Starting from a cell relaxed with GGA-PBE, the PXRD pattern of Sr2NpPt9 was computed for Cu Ka.
No peak broadening, texture or thermal motion is included.

Atomic structure:
```
12
Lattice="2.727 1.574 9.030 -2.727 1.574 9.030 0.000 -3.149 9.030" Properties=species:S:1:pos:R:3 pbc="T T T"
Sr 0.000 0.000 3.840
Sr 0.000 0.000 23.250
Np 0.000 0.000 0.000
Pt -1.368 -0.790 11.263
Pt 0.000 0.000 9.008
Pt 0.000 -1.580 15.828
Pt -1.368 0.790 15.828
Pt 0.000 0.000 13.545
Pt 1.368 -0.790 11.263
Pt 0.000 1.580 11.263
Pt 0.000 0.000 18.083
Pt 1.368 0.790 15.828
```

Largest 8 diffraction maxima, in order of falling intensity, 15 to 90 degrees two-theta:
d/Å, I_rel
2.334, 100
2.165, 34
2.258, 33
2.352, 28
1.167, 28
1.363, 25
1.487, 25
4.653, 24

5.
Starting from a cell relaxed with GGA-PBE, the PXRD pattern of Ti3Zn2Au4 was computed for Cu Ka.
No peak broadening, texture or thermal motion is included.

Atomic structure:
```
9
Lattice="4.360 -2.087 0.000 4.360 2.087 0.000 -1.818 0.000 8.259" Properties=species:S:1:pos:R:3 pbc="T T T"
Ti 0.000 0.000 0.000
Ti 2.126 0.000 3.624
Ti 4.776 0.000 4.634
Zn 1.447 0.000 6.389
Zn 5.456 0.000 1.869
Au -0.500 0.000 2.758
Au 2.735 0.000 0.875
Au 4.168 0.000 7.384
Au 7.402 0.000 5.501
```

Largest 8 diffraction maxima, in order of falling intensity, 15 to 90 degrees two-theta:
d/Å, I_rel
2.347, 100
2.326, 99
3.298, 37
2.114, 37
2.087, 36
1.402, 28
1.893, 26
1.485, 24

6.
Starting from a cell relaxed with GGA-PBE, the PXRD pattern of Li2GeSbS4 was computed for Cu Ka.
No peak broadening, texture or thermal motion is included.

Atomic structure:
```
16
Lattice="8.944 0.000 0.000 0.000 6.391 0.000 0.000 0.000 6.371" Properties=species:S:1:pos:R:3 pbc="T T T"
Li 2.230 1.155 0.000
Li 2.242 5.236 3.186
Li 6.702 5.236 3.186
Li 6.714 1.155 0.000
Ge 0.000 2.158 3.226
Ge 4.472 4.233 0.040
Sb 0.000 4.514 6.080
Sb 4.472 1.877 2.895
S 0.000 2.035 5.554
S 0.000 4.354 2.783
S 1.896 1.196 2.434
S 2.577 5.195 5.620
S 4.472 2.037 5.968
S 4.472 4.356 2.368
S 6.368 5.195 5.620
S 7.049 1.196 2.434
```

Largest 8 diffraction maxima, in order of falling intensity, 15 to 90 degrees two-theta:
d/Å, I_rel
3.190, 100
4.512, 96
4.472, 63
2.596, 45
3.664, 35
1.831, 32
2.406, 30
3.176, 30

7.
Starting from a cell relaxed with GGA-PBE, the PXRD pattern of PaBeIn was computed for Cu Ka.
No peak broadening, texture or thermal motion is included.

Atomic structure:
```
6
Lattice="2.227 -7.839 0.000 2.227 7.839 0.000 0.000 0.000 3.471" Properties=species:S:1:pos:R:3 pbc="T T T"
Pa 2.227 6.582 2.603
Pa 2.227 -6.582 0.868
Be 2.227 0.604 2.603
Be 2.227 -0.604 0.868
In 2.227 3.204 2.603
In 2.227 -3.204 0.868
```

Largest 8 diffraction maxima, in order of falling intensity, 15 to 90 degrees two-theta:
d/Å, I_rel
2.697, 100
2.599, 85
2.564, 80
4.285, 78
1.691, 47
1.470, 40
2.227, 36
2.425, 35

8.
Starting from a cell relaxed with GGA-PBE, the PXRD pattern of Pr6Zn2Ni was computed for Cu Ka.
No peak broadening, texture or thermal motion is included.

Atomic structure:
```
18
Lattice="6.278 0.000 0.000 0.000 8.190 0.000 -6.110 0.000 10.346" Properties=species:S:1:pos:R:3 pbc="T T T"
Pr -2.188 1.571 4.660
Pr -5.243 2.524 9.833
Pr -0.835 5.402 4.623
Pr -3.890 6.883 9.796
Pr 0.807 0.269 2.574
Pr -2.248 3.826 7.747
Pr 2.415 4.363 2.599
Pr -0.640 7.921 7.772
Pr 4.058 1.307 0.550
Pr 1.002 2.788 5.724
Pr 5.411 5.666 0.513
Pr 2.356 6.619 5.686
Zn -3.564 0.943 7.616
Zn -0.509 3.152 2.443
Zn 0.676 5.038 7.903
Zn 3.732 7.246 2.730
Ni 0.084 0.000 5.173
Ni 3.139 4.095 0.000
```

Largest 8 diffraction maxima, in order of falling intensity, 15 to 90 degrees two-theta:
d/Å, I_rel
3.211, 100
2.831, 92
2.503, 90
2.850, 86
1.760, 85
2.931, 75
2.870, 74
3.264, 64

9.
Starting from a cell relaxed with GGA-PBE, the PXRD pattern of Tb6Th2Sc was computed for Cu Ka.
No peak broadening, texture or thermal motion is included.

Atomic structure:
```
9
Lattice="3.538 0.000 0.000 -1.769 3.064 0.000 0.000 0.000 32.332" Properties=species:S:1:pos:R:3 pbc="T T T"
Tb 0.000 0.000 2.675
Tb 0.000 0.000 29.657
Tb 1.769 1.021 5.585
Tb 1.769 1.021 11.393
Tb 1.769 1.021 20.939
Tb 1.769 1.021 26.747
Th 0.000 0.000 8.567
Th 0.000 0.000 23.765
Sc 1.769 1.021 0.000
```

Largest 8 diffraction maxima, in order of falling intensity, 15 to 90 degrees two-theta:
d/Å, I_rel
2.663, 100
2.769, 39
3.064, 31
1.769, 26
2.865, 26
2.940, 26
1.616, 25
1.516, 20